Diffraction record for Zr5In3Cu. The X-ray diffraction stick pattern is simulated, not measured: it uses a DFT-relaxed cell (PBE, the Materials Project) and a wavelength of 1.5418 Å.

Cell and atoms:
Cell lengths 8.8393, 8.8393, 5.9754 Å; angles 90.00, 90.00, 120.00 degrees
Space group P6_3/mcm (No. 193)
Inequivalent atoms, fractional coordinates:
1 Zr 0.0000 0.2699 0.2500 x6
2 Zr 0.3333 0.6667 0.0000 x4
3 In 0.0000 0.3781 0.7500 x6
4 Cu 0.0000 0.0000 0.0000 x2

Most intense lines, 2θ = 15–90°, sorted by position:
2θ 29.91, rel. 14
2θ 34.44, rel. 64
2θ 35.17, rel. 91
2θ 36.29, rel. 100
2θ 45.33, rel. 17
2θ 51.43, rel. 27
2θ 54.46, rel. 11
2θ 56.05, rel. 15
2θ 63.84, rel. 16
2θ 66.50, rel. 12
2θ 70.25, rel. 11
2θ 73.45, rel. 20